Computed X-ray diffraction stick pattern of K2PuNpSe4 for Cu Kα (λ = 1.5418 Å), from a crystal structure in Alexandria, relaxed with PBE.
Kinematic intensities with the Lorentz-polarization factor, no thermal factor.

Structural model:
Cell: 7.401 4.272 8.031 Å, 90.00 107.88 90.00°
Fractional coordinates of all 8 atoms:
K  0.000  0.000  0.000
K  0.500  0.500  0.000
Pu  0.000  0.500  0.500
Np  0.500  0.000  0.500
Se  0.238  0.000  0.705
Se  0.268  0.500  0.295
Se  0.732  0.500  0.705
Se  0.762  0.000  0.295

Most intense lines, 2θ = 10–90°, low angle first:
- 11.6 deg, I 80.6
- 24.4 deg, I 25.2
- 28.7 deg, I 100.0
- 36.6 deg, I 24.9
- 39.8 deg, I 35.4
- 42.3 deg, I 36.8